Structure and simulated X-ray diffraction stick pattern of Tb3Pr2Hg4 (a crystal structure in Alexandria, relaxed with GGA-PBE; Cu Kα (λ = 1.5418 Å)).

Top 10 peaks for 10 to 90 degrees two-theta, sorted by position:
| d [Å] | I (rel.) |
| --- | --- |
| 3.050 | 53.1 |
| 2.983 | 56.1 |
| 2.685 | 100.0 |
| 2.638 | 29.7 |
| 2.424 | 42.1 |
| 2.280 | 27.6 |
| 1.913 | 14.9 |
| 1.764 | 18.7 |
| 1.533 | 29.6 |
| 1.426 | 17.8 |

Structural model:
Unit cell a=9.6360 b=9.6360 c=8.2808 alpha=90.00 beta=90.00 gamma=137.06
Atoms (fractional coordinates):
Tb1 0.0000 0.0000 0.0000
Tb2 0.0108 0.4892 0.2500
Tb3 0.4892 0.0108 0.7500
Tb4 0.5000 0.5000 0.5000
Tb5 0.5108 0.9892 0.2500
Tb6 0.9892 0.5108 0.7500
Pr1 0.0952 0.9048 0.4108
Pr2 0.4048 0.5952 0.9108
Pr3 0.5952 0.4048 0.0892
Pr4 0.9048 0.0952 0.5892
Hg1 0.1687 0.8313 0.0272
Hg2 0.1845 0.3155 0.2500
Hg3 0.3155 0.1845 0.7500
Hg4 0.3313 0.6687 0.5272
Hg5 0.6687 0.3313 0.4728
Hg6 0.6845 0.8155 0.2500
Hg7 0.8155 0.6845 0.7500
Hg8 0.8313 0.1687 0.9728